NaCaDyFeO6: simulated XRD peak list (Cu Kα (weighted mean of Kα1 and Kα2)), based on a DFT-relaxed cell (PBE+U, the Materials Project).
Neutral-atom scattering factors, no anomalous dispersion.

Structural model:
```
NaCaDyFeO6
1.0
0.000 4.031 4.031
4.031 0.000 4.031
4.031 4.031 0.000
Na Ca Dy Fe O
1 1 1 1 6
Cartesian
0.000 0.000 0.000
4.031 4.031 4.031
2.015 2.015 2.015
6.046 6.046 6.046
6.046 6.046 4.197
6.046 4.197 6.046
7.895 6.046 6.046
4.197 6.046 6.046
6.046 7.895 6.046
6.046 6.046 7.895
```

The 12 most intense peaks (2θ from 10° to 80°), in order of rising 2θ:
two_theta	I/Imax
19.07	26.2
22.05	66.8
31.39	100.0
36.98	22.4
44.98	39.2
49.27	13.2
50.64	26.1
55.87	37.7
59.59	6.5
65.50	22.2
70.03	11.9
74.43	17.1